Diffraction record for ErMnAg2F6. The powder diffraction line list is theoretical, not measured: it uses DFT lattice parameters and positions (GGA+U) and a wavelength of 1.5418 Å.
Kinematic intensities with the Lorentz-polarization factor, no thermal factor.

Top 10 peaks for 2θ from 5° to 70°, sorted by position:
index	Position (°2θ)	d (Å)	intensity
1 0 0	17.9	4.945	15
2 1 1	29.5	3.028	100
0 2 1	34.7	2.582	11
2 2 0	42.2	2.141	33
1 3 0	52.3	1.749	32
2 3 3	52.4	1.746	11
2 0 -2	61.2	1.515	13
4 2 2	61.3	1.513	6
-1 2 3	69.4	1.355	13
4 3 1	69.5	1.353	4

Crystal structure
a = 6.0489 Å, b = 6.0524 Å, c = 6.0548 Å
α = 60.08°, β = 60.11°, γ = 60.08°
Space group P-1 (No. 2)
Unique sites:
Er (0.0000, 0.0000, 0.0000)
Mn (0.5000, 0.5000, 0.5000)
Ag (0.2493, 0.2508, 0.2499)
F (0.2506, 0.2510, 0.6883)
F (0.2516, 0.6890, 0.8092)
F (0.2520, 0.8099, 0.2500)